# 1
Diffraction record for LaSc5Rh4. The X-ray powder pattern is computed, not measured: it uses a cell relaxed with PBE and a wavelength of 1.5418 Å.

Structural model:
Cell: 3.2463 3.2463 18.3582 Å, 90.00 90.00 90.00°
Space group P4/mmm (No. 123)
One atom of each set of equivalent atoms:
La: 0.0000 0.0000 0.0000 (multiplicity 1)
Sc: 0.5000 0.5000 0.1506 (multiplicity 2)
Sc: 0.5000 0.5000 0.3240 (multiplicity 2)
Sc: 0.5000 0.5000 0.5000 (multiplicity 1)
Rh: 0.0000 0.0000 0.2340 (multiplicity 2)
Rh: 0.0000 0.0000 0.4119 (multiplicity 2)

The 10 most intense peaks (15° ≤ 2θ ≤ 90°), sorted by position:
(hkl)	two_theta	Rel. int.
0 0 5	24.24	27
1 0 0	27.48	41
1 0 4	33.82	29
1 0 5	36.96	100
1 1 0	39.25	91
1 0 6	40.51	52
1 1 5	46.67	19
2 0 0	56.71	33
2 1 5	69.65	38
2 1 6	72.00	17


# 2
Diffraction record for Sm3Sb4Au3. The X-ray powder pattern is computed, not measured: it uses a cell relaxed with PBE and a wavelength of 1.5418 Å.

Structural model:
Cell: 10.0529 10.0529 10.0529 Å, 90.00 90.00 90.00°
Space group I-43d (No. 220)
One atom of each set of equivalent atoms:
Sm: 0.0000 0.2500 0.3750 (multiplicity 12)
Sb: 0.0878 0.0878 0.0878 (multiplicity 16)
Au: 0.0000 0.2500 0.8750 (multiplicity 12)

The 10 most intense peaks (15° ≤ 2θ ≤ 90°), sorted by position:
(hkl)	two_theta	Rel. int.
2 1 1	21.65	24
3 2 1	33.35	100
4 2 0	40.11	49
4 2 2	44.13	14
5 1 0	46.04	13
5 2 1	49.67	16
6 2 0	58.03	11
4 4 4	64.19	12
6 4 0	67.14	11
5 5 2	68.60	13


# 3
Diffraction record for GaCu4Ge. The X-ray powder pattern is computed, not measured: it uses a cell relaxed with PBE and a wavelength of 1.5418 Å.

Structural model:
Cell: 4.2868 4.7452 8.5182 Å, 106.10 104.48 90.15°
Space group P-1 (No. 2)
One atom of each set of equivalent atoms:
Ga: 0.2499 0.1866 0.9998 (multiplicity 2)
Cu: 0.0884 0.0236 0.6752 (multiplicity 2)
Cu: 0.1669 0.5860 0.8323 (multiplicity 2)
Cu: 0.3333 0.7518 0.1684 (multiplicity 2)
Cu: 0.4111 0.3476 0.3246 (multiplicity 2)
Ge: 0.0000 0.5000 0.5000 (multiplicity 1)
Ge: 0.5000 0.0000 0.5000 (multiplicity 1)

The 10 most intense peaks (15° ≤ 2θ ≤ 90°), sorted by position:
(hkl)	two_theta	Rel. int.
0 1 -3	34.09	8
0 2 -1	37.92	23
2 0 -1	42.16	36
1 2 -1	43.98	22
1 2 -2	44.05	7
-1 1 3	44.67	100
2 -2 0	57.90	6
0 0 6	71.67	7
-3 1 4	78.80	13
2 0 -7	86.81	8


# 4
Diffraction record for Mn21Ru2C6. The X-ray powder pattern is computed, not measured: it uses a cell relaxed with PBE and a wavelength of 1.5418 Å.

Structural model:
Cell: 10.4365 10.4365 10.4365 Å, 90.00 90.00 90.00°
Space group Fm-3m (No. 225)
One atom of each set of equivalent atoms:
Mn: 0.0000 0.0000 0.0000 (multiplicity 4)
Mn: 0.0000 0.1664 0.1664 (multiplicity 48)
Mn: 0.1164 0.1164 0.3836 (multiplicity 32)
Ru: 0.2500 0.2500 0.2500 (multiplicity 8)
C: 0.0000 0.0000 0.2758 (multiplicity 24)

The 10 most intense peaks (15° ≤ 2θ ≤ 90°), sorted by position:
(hkl)	two_theta	Rel. int.
4 2 0	38.58	48
4 2 2	42.43	48
3 3 3	45.14	100
4 4 0	49.40	30
5 3 1	51.83	26
6 2 0	55.70	8
6 2 2	58.68	14
6 4 4	75.05	13
6 6 0	77.63	28
5 5 5	79.54	12


# 5
Diffraction record for AgHPd2. The X-ray powder pattern is computed, not measured: it uses a cell relaxed with PBE and a wavelength of 1.5418 Å.

Structural model:
Cell: 8.5725 5.0286 5.6653 Å, 90.00 122.29 90.00°
Space group Cc (No. 9)
One atom of each set of equivalent atoms:
Ag: 0.0000 0.0915 0.0000 (multiplicity 4)
H: 0.3561 0.1950 0.7188 (multiplicity 4)
Pd: 0.1645 0.4141 0.4988 (multiplicity 4)
Pd: 0.3325 0.0914 0.0023 (multiplicity 4)

The 10 most intense peaks (15° ≤ 2θ ≤ 90°), sorted by position:
(hkl)	two_theta	Rel. int.
3 1 -1	36.17	48
0 0 2	37.56	76
3 1 -2	40.40	88
0 2 1	40.52	100
3 1 0	41.47	82
3 3 -1	64.46	29
3 1 -4	68.95	17
0 2 3	69.78	19
3 3 -3	76.34	18
3 3 1	77.78	17


# 6
Diffraction record for YVTe2. The X-ray powder pattern is computed, not measured: it uses a cell relaxed with PBE and a wavelength of 1.5418 Å.

Structural model:
Cell: 4.3265 4.3265 26.8884 Å, 90.00 90.00 120.00°
Space group R-3m (No. 166, hexagonal axes)
One atom of each set of equivalent atoms:
Y: 0.0000 0.0000 0.0000 (multiplicity 3)
V: 0.0000 0.0000 0.5000 (multiplicity 3)
Te: 0.0000 0.0000 0.3995 (multiplicity 6)

The 10 most intense peaks (15° ≤ 2θ ≤ 90°), sorted by position:
(hkl)	two_theta	Rel. int.
1 0 1	23.98	50
0 1 2	24.67	87
0 1 5	29.05	100
0 1 8	35.89	34
1 0 10	41.33	69
1 1 0	41.75	67
2 0 5	51.67	20
0 2 10	60.20	22
1 1 15	67.91	18
2 1 10	75.94	22


# 7
Diffraction record for NdPd3. The X-ray powder pattern is computed, not measured: it uses a cell relaxed with PBE and a wavelength of 1.5418 Å.

Structural model:
Cell: 6.7387 6.7387 6.7387 Å, 90.00 90.00 90.00°
Space group Fm-3m (No. 225)
One atom of each set of equivalent atoms:
Nd: 0.0000 0.0000 0.0000 (multiplicity 4)
Pd: 0.0000 0.0000 0.5000 (multiplicity 4)
Pd: 0.2500 0.2500 0.2500 (multiplicity 8)

The 7 most intense peaks (15° ≤ 2θ ≤ 90°), sorted by position:
(hkl)	two_theta	Rel. int.
1 1 1	22.86	1
2 0 0	26.45	1
2 2 0	37.76	100
3 1 1	44.60	1
4 0 0	54.47	17
4 2 2	68.17	34
4 4 0	80.65	11


# 8
Diffraction record for Cs3K2Hg2Au4. The X-ray powder pattern is computed, not measured: it uses a cell relaxed with PBE and a wavelength of 1.5418 Å.

Structural model:
Cell: 5.6583 5.6583 29.4633 Å, 90.00 90.00 90.00°
Space group I4/mmm (No. 139)
One atom of each set of equivalent atoms:
Cs: 0.0000 0.0000 0.0000 (multiplicity 2)
Cs: 0.0000 0.0000 0.1500 (multiplicity 4)
K: 0.0000 0.0000 0.3073 (multiplicity 4)
Hg: 0.0000 0.0000 0.4212 (multiplicity 4)
Au: 0.0000 0.5000 0.0842 (multiplicity 8)

The 10 most intense peaks (15° ≤ 2θ ≤ 90°), sorted by position:
(hkl)	two_theta	Rel. int.
0 0 6	18.07	44
1 0 7	26.39	74
1 1 6	28.78	56
2 0 0	31.63	100
2 0 2	32.22	24
2 0 4	33.94	24
0 0 12	36.63	54
2 1 7	41.65	44
2 2 0	45.33	37
2 0 12	49.14	53